Computed powder diffractogram of Rb2NaMnO4 for Cu Kα, 1.54184 Å, from the GGA+U geometry in Alexandria.
Peak positions follow from Bragg's law for the DFT cell and can differ from measured ones.

Atomic structure:
```
Rb2NaMnO4
1.0
6.0684 0.0000 0.0000
0.0000 6.0820 0.0000
-0.3901 0.0000 7.9570
Rb Na Mn O
4 2 2 8
Direct
0.1178 0.2500 0.1726 Rb
0.3051 0.7500 0.5162 Rb
0.6949 0.2500 0.4838 Rb
0.8822 0.7500 0.8274 Rb
0.3836 0.7500 0.0341 Na
0.6164 0.2500 0.9659 Na
0.1950 0.2500 0.7445 Mn
0.8050 0.7500 0.2555 Mn
0.0730 0.7500 0.1921 O
0.2044 0.2500 0.5301 O
0.3307 0.0226 0.8292 O
0.3307 0.4774 0.8292 O
0.6693 0.5226 0.1708 O
0.6693 0.9774 0.1708 O
0.7956 0.7500 0.4699 O
0.9270 0.2500 0.8079 O
```

Largest 8 diffraction maxima, low angle first, 10° ≤ 2θ ≤ 80°:
| d_spacing | I_rel | index |
| --- | --- | --- |
| 3.725 | 34 | 1 1 1 |
| 3.254 | 33 | 1 0 2 |
| 3.041 | 70 | 0 2 0 |
| 2.970 | 100 | 1 1 -2 |
| 2.879 | 24 | 2 0 -1 |
| 2.713 | 67 | 2 1 0 |
| 2.652 | 31 | 0 0 3 |
| 2.222 | 44 | 1 2 2 |